This entry pairs a crystal structure of La4Sb2Pb with its simulated powder diffractogram. Radiation: a wavelength of 1.5418 Å. Structure: a DFT-relaxed cell (PBE, the Materials Project).
Intensities are scaled so that the largest is 100.

Largest 8 diffraction maxima, by angle, 2θ from 5° to 70°:
2θ 28.9, I 100
2θ 34.4, I 68
2θ 41.3, I 9
2θ 43.5, I 11
2θ 45.5, I 15
2θ 47.5, I 14
2θ 58.1, I 10
2θ 58.3, I 19

Structure:
Cell: 8.457 8.457 8.457 Å, 109.57 109.57 109.27°
Element x y z (fractional)
La (0.127, 0.731, 0.748)
La (0.129, 0.233, 0.752)
La (0.269, 0.017, 0.396)
La (0.481, 0.377, 0.248)
La (0.621, 0.873, 0.604)
La (0.623, 0.871, 0.104)
La (0.767, 0.519, 0.896)
La (0.983, 0.379, 0.252)
Sb (0.250, 0.625, 0.125)
Sb (0.375, 0.500, 0.625)
Sb (0.500, 0.125, 0.875)
Sb (0.875, 0.750, 0.375)
Pb (0.000, 0.000, 0.000)
Pb (0.750, 0.250, 0.500)


This entry pairs a crystal structure of La2PbSe4 with its simulated powder diffractogram. Radiation: a wavelength of 1.5418 Å. Structure: a DFT-relaxed cell (PBE, the Materials Project).
Intensities are scaled so that the largest is 100.

Largest 8 diffraction maxima, by angle, 2θ from 5° to 70°:
2θ 23.8, I 35
2θ 30.8, I 100
2θ 36.7, I 67
2θ 44.2, I 27
2θ 46.5, I 18
2θ 50.8, I 20
2θ 62.4, I 27
2θ 66.0, I 14

Structure:
Cell: 7.941 7.941 7.941 Å, 109.42 109.42 109.58°
Element x y z (fractional)
La (0.007, 0.125, 0.382)
La (0.375, 0.993, 0.118)
La (0.743, 0.625, 0.618)
La (0.875, 0.257, 0.882)
Pb (0.250, 0.750, 0.500)
Pb (0.500, 0.500, 0.000)
Se (0.116, 0.519, 0.748)
Se (0.118, 0.021, 0.752)
Se (0.269, 0.366, 0.248)
Se (0.481, 0.229, 0.597)
Se (0.632, 0.884, 0.403)
Se (0.634, 0.882, 0.903)
Se (0.771, 0.368, 0.252)
Se (0.979, 0.731, 0.097)


This entry pairs a crystal structure of La2Te4Pb with its simulated powder diffractogram. Radiation: a wavelength of 1.5418 Å. Structure: a DFT-relaxed cell (PBE, the Materials Project).
Intensities are scaled so that the largest is 100.

Largest 8 diffraction maxima, by angle, 2θ from 5° to 70°:
2θ 22.3, I 11
2θ 28.9, I 100
2θ 34.4, I 71
2θ 41.4, I 12
2θ 43.5, I 13
2θ 45.5, I 14
2θ 47.5, I 11
2θ 58.3, I 20

Structure:
Cell: 8.451 8.451 8.451 Å, 109.55 109.55 109.31°
Element x y z (fractional)
La (0.004, 0.125, 0.379)
La (0.375, 0.996, 0.121)
La (0.746, 0.625, 0.621)
La (0.875, 0.254, 0.879)
Te (0.118, 0.522, 0.748)
Te (0.120, 0.024, 0.752)
Te (0.272, 0.368, 0.248)
Te (0.478, 0.226, 0.596)
Te (0.630, 0.882, 0.404)
Te (0.632, 0.880, 0.904)
Te (0.774, 0.370, 0.252)
Te (0.976, 0.728, 0.096)
Pb (0.250, 0.750, 0.500)
Pb (0.500, 0.500, 0.000)


This entry pairs a crystal structure of LaThPb6 with its simulated powder diffractogram. Radiation: a wavelength of 1.5418 Å. Structure: a DFT-relaxed cell (PBE, the Materials Project).
Intensities are scaled so that the largest is 100.

Largest 8 diffraction maxima, by angle, 2θ from 5° to 70°:
2θ 31.2, I 100
2θ 35.5, I 18
2θ 36.6, I 33
2θ 51.9, I 25
2θ 52.7, I 12
2θ 61.1, I 15
2θ 62.5, I 29
2θ 65.1, I 13

Structure:
Cell: 4.916 4.916 10.106 Å, 90.00 90.00 90.00°
Element x y z (fractional)
La (0.000, 0.000, 0.000)
Th (0.000, 0.000, 0.500)
Pb (0.000, 0.500, 0.252)
Pb (0.000, 0.500, 0.748)
Pb (0.500, 0.000, 0.252)
Pb (0.500, 0.000, 0.748)
Pb (0.500, 0.500, 0.000)
Pb (0.500, 0.500, 0.500)


This entry pairs a crystal structure of La2Zn5Pb with its simulated powder diffractogram. Radiation: a wavelength of 1.5418 Å. Structure: a DFT-relaxed cell (PBE, the Materials Project).
Intensities are scaled so that the largest is 100.

Largest 8 diffraction maxima, by angle, 2θ from 5° to 70°:
2θ 26.8, I 26
2θ 27.9, I 60
2θ 31.7, I 100
2θ 32.8, I 54
2θ 35.5, I 25
2θ 37.2, I 34
2θ 39.2, I 52
2θ 43.3, I 39

Structure:
Cell: 8.802 8.802 9.254 Å, 90.00 90.00 149.77°
Element x y z (fractional)
La (0.000, 0.000, 0.000)
La (0.000, 0.000, 0.500)
La (0.208, 0.792, 0.750)
La (0.792, 0.208, 0.250)
Zn (0.186, 0.814, 0.107)
Zn (0.186, 0.814, 0.393)
Zn (0.342, 0.658, 0.012)
Zn (0.342, 0.658, 0.488)
Zn (0.394, 0.606, 0.750)
Zn (0.606, 0.394, 0.250)
Zn (0.658, 0.342, 0.512)
Zn (0.658, 0.342, 0.988)
Zn (0.814, 0.186, 0.607)
Zn (0.814, 0.186, 0.893)
Pb (0.444, 0.556, 0.250)
Pb (0.556, 0.444, 0.750)


This entry pairs a crystal structure of LaPd5 with its simulated powder diffractogram. Radiation: a wavelength of 1.5418 Å. Structure: a DFT-relaxed cell (PBE, the Materials Project).
Intensities are scaled so that the largest is 100.

Largest 8 diffraction maxima, by angle, 2θ from 5° to 70°:
2θ 27.5, I 22
2θ 33.2, I 22
2θ 38.5, I 30
2θ 38.9, I 100
2θ 40.0, I 33
2θ 43.6, I 30
2θ 56.7, I 19
2θ 63.1, I 24

Structure:
Cell: 5.396 5.396 4.512 Å, 90.00 90.00 120.00°
Element x y z (fractional)
La (0.000, 0.000, 0.000)
Pd (0.000, 0.500, 0.500)
Pd (0.333, 0.667, 0.000)
Pd (0.500, 0.000, 0.500)
Pd (0.500, 0.500, 0.500)
Pd (0.667, 0.333, 0.000)


This entry pairs a crystal structure of La7Pd3 with its simulated powder diffractogram. Radiation: a wavelength of 1.5418 Å. Structure: a DFT-relaxed cell (PBE, the Materials Project).
Intensities are scaled so that the largest is 100.

Largest 8 diffraction maxima, by angle, 2θ from 5° to 70°:
2θ 28.7, I 46
2θ 29.5, I 100
2θ 32.8, I 56
2θ 33.6, I 54
2θ 34.5, I 48
2θ 51.4, I 29
2θ 52.2, I 22
2θ 52.7, I 24

Structure:
Cell: 10.389 10.389 6.631 Å, 90.00 90.00 120.00°
Element x y z (fractional)
La (0.077, 0.538, 0.000)
La (0.126, 0.251, 0.310)
La (0.126, 0.874, 0.310)
La (0.251, 0.126, 0.810)
La (0.333, 0.667, 0.519)
La (0.462, 0.538, 0.000)
La (0.462, 0.923, 0.000)
La (0.538, 0.077, 0.500)
La (0.538, 0.462, 0.500)
La (0.667, 0.333, 0.019)
La (0.749, 0.874, 0.310)
La (0.874, 0.126, 0.810)
La (0.874, 0.749, 0.810)
La (0.923, 0.462, 0.500)
Pd (0.188, 0.376, 0.751)
Pd (0.188, 0.812, 0.751)
Pd (0.376, 0.188, 0.251)
Pd (0.624, 0.812, 0.751)
Pd (0.812, 0.188, 0.251)
Pd (0.812, 0.624, 0.251)


This entry pairs a crystal structure of LaPd with its simulated powder diffractogram. Radiation: a wavelength of 1.5418 Å. Structure: a DFT-relaxed cell (PBE, the Materials Project).
Intensities are scaled so that the largest is 100.

Largest 8 diffraction maxima, by angle, 2θ from 5° to 70°:
2θ 30.6, I 96
2θ 32.2, I 31
2θ 33.0, I 18
2θ 37.6, I 17
2θ 38.3, I 100
2θ 45.7, I 19
2θ 50.9, I 23
2θ 61.1, I 16

Structure:
Cell: 3.974 11.127 4.694 Å, 90.00 90.00 90.00°
Element x y z (fractional)
La (0.000, 0.136, 0.250)
La (0.000, 0.864, 0.750)
La (0.500, 0.364, 0.750)
La (0.500, 0.636, 0.250)
Pd (0.000, 0.413, 0.250)
Pd (0.000, 0.587, 0.750)
Pd (0.500, 0.087, 0.750)
Pd (0.500, 0.913, 0.250)


This entry pairs a crystal structure of LaPd3S4 with its simulated powder diffractogram. Radiation: a wavelength of 1.5418 Å. Structure: a DFT-relaxed cell (PBE, the Materials Project).
Intensities are scaled so that the largest is 100.

Largest 8 diffraction maxima, by angle, 2θ from 5° to 70°:
2θ 29.4, I 100
2θ 32.3, I 99
2θ 37.4, I 14
2θ 46.3, I 20
2θ 48.3, I 25
2θ 50.2, I 57
2θ 54.0, I 32
2θ 62.6, I 22

Structure:
Cell: 6.797 6.797 6.797 Å, 90.00 90.00 90.00°
Element x y z (fractional)
La (0.000, 0.000, 0.000)
La (0.500, 0.500, 0.500)
Pd (0.000, 0.250, 0.500)
Pd (0.000, 0.750, 0.500)
Pd (0.250, 0.500, 0.000)
Pd (0.500, 0.000, 0.250)
Pd (0.500, 0.000, 0.750)
Pd (0.750, 0.500, 0.000)
S (0.250, 0.250, 0.250)
S (0.250, 0.250, 0.750)
S (0.250, 0.750, 0.250)
S (0.250, 0.750, 0.750)
S (0.750, 0.250, 0.250)
S (0.750, 0.250, 0.750)
S (0.750, 0.750, 0.250)
S (0.750, 0.750, 0.750)


This entry pairs a crystal structure of LaSb2Pd with its simulated powder diffractogram. Radiation: a wavelength of 1.5418 Å. Structure: a DFT-relaxed cell (PBE, the Materials Project).
Intensities are scaled so that the largest is 100.

Largest 8 diffraction maxima, by angle, 2θ from 5° to 70°:
2θ 8.8, I 14
2θ 26.4, I 14
2θ 33.0, I 100
2θ 33.2, I 21
2θ 39.5, I 46
2θ 49.6, I 13
2θ 57.0, I 15
2θ 67.5, I 24

Structure:
Cell: 4.567 4.567 10.046 Å, 90.00 90.00 90.00°
Element x y z (fractional)
La (0.250, 0.250, 0.248)
La (0.750, 0.750, 0.752)
Sb (0.250, 0.250, 0.854)
Sb (0.250, 0.750, 0.500)
Sb (0.750, 0.250, 0.500)
Sb (0.750, 0.750, 0.146)
Pd (0.250, 0.750, 0.000)
Pd (0.750, 0.250, 0.000)


This entry pairs a crystal structure of LaSb2Pd2 with its simulated powder diffractogram. Radiation: a wavelength of 1.5418 Å. Structure: a DFT-relaxed cell (PBE, the Materials Project).
Intensities are scaled so that the largest is 100.

Largest 8 diffraction maxima, by angle, 2θ from 5° to 70°:
2θ 31.8, I 100
2θ 38.3, I 48
2θ 43.8, I 19
2θ 47.2, I 13
2θ 50.6, I 21
2θ 55.3, I 16
2θ 62.3, I 11
2θ 65.2, I 20

Structure:
Cell: 4.701 4.701 10.560 Å, 90.00 90.00 90.00°
Element x y z (fractional)
La (0.250, 0.250, 0.241)
La (0.750, 0.750, 0.759)
Sb (0.250, 0.250, 0.872)
Sb (0.250, 0.750, 0.500)
Sb (0.750, 0.250, 0.500)
Sb (0.750, 0.750, 0.128)
Pd (0.250, 0.250, 0.624)
Pd (0.250, 0.750, 0.000)
Pd (0.750, 0.250, 0.000)
Pd (0.750, 0.750, 0.376)


This entry pairs a crystal structure of LaSbPd with its simulated powder diffractogram. Radiation: a wavelength of 1.5418 Å. Structure: a DFT-relaxed cell (PBE, the Materials Project).
Intensities are scaled so that the largest is 100.

Largest 8 diffraction maxima, by angle, 2θ from 5° to 70°:
2θ 24.0, I 10
2θ 31.8, I 100
2θ 36.5, I 84
2θ 41.9, I 16
2θ 49.2, I 29
2θ 62.3, I 17
2θ 62.8, I 28
2θ 65.7, I 15

Structure:
Cell: 4.921 4.921 7.493 Å, 90.00 90.00 120.00°
Element x y z (fractional)
La (0.000, 0.000, 0.226)
La (0.000, 0.000, 0.774)
Sb (0.333, 0.667, 0.536)
Sb (0.667, 0.333, 0.464)
Pd (0.333, 0.667, 0.964)
Pd (0.667, 0.333, 0.036)